Diffraction record for Pa4CN3. The powder XRD pattern is theoretical, not measured: it uses DFT lattice parameters and positions (PBE) and copper Kα.
Intensities are scaled so that the largest is 100.

Peak list (11 most intense, 10 to 90 degrees two-theta, low angle first)
2θ (°)	I (rel.)	(hkl)
31.04	100	1 0 4
36.00	64	0 1 8
51.82	46	1 1 0
61.65	46	1 1 12
64.62	4	0 0 24
64.74	12	2 0 8
76.34	7	0 2 16
84.60	10	2 0 20
84.73	10	2 1 4
87.35	11	1 1 24
87.46	11	1 2 8

```
data_Pa4CN3
_chemical_formula_sum 'Pa12 C3 N9'
_symmetry_space_group_name_H-M 'R -3 m'
_symmetry_Int_Tables_number 166
_symmetry_space_group_name_Hall '-R 3 2"'
_cell_length_a 3.5262
_cell_length_b 3.5262
_cell_length_c 34.6140
_cell_angle_alpha 90.00
_cell_angle_beta 90.00
_cell_angle_gamma 120.00
loop_
_atom_site_label
_atom_site_type_symbol
_atom_site_fract_x
_atom_site_fract_y
_atom_site_fract_z
Pa1 Pa 0.0000 0.0000 0.1244
Pa2 Pa 0.0000 0.0000 0.3746
C1 C 0.0000 0.0000 0.5000
N1 N 0.0000 0.0000 0.0000
N2 N 0.0000 0.0000 0.2520
```